1.
The following is a calculated PXRD pattern of Y2Tm2Ag. It was derived from a DFT-relaxed cell (PBE, Alexandria), using copper Kα.
Peak positions follow from Bragg's law for the DFT cell and can differ from measured ones.

The 10 most intense peaks (2θ from 15° to 90°), in order of rising 2θ:
d/Å, I/Imax
4.254, 31
3.394, 20
3.036, 10
2.663, 100
2.500, 46
2.155, 11
1.930, 11
1.768, 16
1.573, 14
1.473, 32

Atomic structure:
a = 12.650 Å, b = 12.650 Å, c = 12.650 Å
α = 157.20°, β = 157.20°, γ = 32.46°
Element x y z (fractional)
Y 0.051 0.301 0.750
Y 0.301 0.051 0.250
Y 0.699 0.949 0.750
Y 0.949 0.699 0.250
Tm 0.199 0.449 0.750
Tm 0.449 0.199 0.250
Tm 0.551 0.801 0.750
Tm 0.801 0.551 0.250
Ag 0.125 0.875 0.250
Ag 0.875 0.125 0.750



2.
The following is a calculated PXRD pattern of YTm5Ag4. It was derived from a DFT-relaxed cell (PBE, Alexandria), using copper Kα.
Peak positions follow from Bragg's law for the DFT cell and can differ from measured ones.

The 10 most intense peaks (2θ from 15° to 90°), in order of rising 2θ:
d/Å, I/Imax
2.630, 100
2.521, 59
2.400, 23
1.782, 21
1.476, 34
1.449, 13
1.431, 9
1.256, 8
1.137, 8
1.127, 9

Atomic structure:
a = 3.565 Å, b = 3.565 Å, c = 19.480 Å
α = 90.00°, β = 90.00°, γ = 90.00°
Element x y z (fractional)
Y 0.000 0.000 0.000
Tm 0.500 0.500 0.127
Tm 0.500 0.500 0.313
Tm 0.500 0.500 0.500
Tm 0.500 0.500 0.687
Tm 0.500 0.500 0.873
Ag 0.000 0.000 0.220
Ag 0.000 0.000 0.407
Ag 0.000 0.000 0.593
Ag 0.000 0.000 0.780



3.
The following is a calculated PXRD pattern of Y2TmAg3. It was derived from a DFT-relaxed cell (PBE, Alexandria), using copper Kα.
Peak positions follow from Bragg's law for the DFT cell and can differ from measured ones.

The 10 most intense peaks (2θ from 15° to 90°), in order of rising 2θ:
d/Å, I/Imax
2.570, 100
2.552, 49
1.830, 9
1.804, 17
1.487, 17
1.477, 34
1.285, 11
1.156, 7
1.143, 7
1.141, 7

Atomic structure:
a = 3.609 Å, b = 3.609 Å, c = 10.981 Å
α = 90.00°, β = 90.00°, γ = 90.00°
Element x y z (fractional)
Y 0.000 0.000 0.169
Y 0.000 0.000 0.831
Tm 0.000 0.000 0.500
Ag 0.500 0.500 0.000
Ag 0.500 0.500 0.339
Ag 0.500 0.500 0.661



4.
The following is a calculated PXRD pattern of Tm3Zn4Ag4. It was derived from a DFT-relaxed cell (PBE, Alexandria), using copper Kα.
Peak positions follow from Bragg's law for the DFT cell and can differ from measured ones.

The 10 most intense peaks (2θ from 15° to 90°), in order of rising 2θ:
d/Å, I/Imax
2.593, 48
2.545, 100
2.293, 34
2.233, 29
2.225, 28
1.720, 14
1.715, 14
1.700, 13
1.367, 13
1.353, 16

Atomic structure:
a = 3.400 Å, b = 4.586 Å, c = 14.303 Å
α = 81.01°, β = 83.20°, γ = 89.95°
Element x y z (fractional)
Tm 0.000 0.000 0.000
Tm 0.139 0.639 0.721
Tm 0.861 0.361 0.279
Zn 0.314 0.814 0.373
Zn 0.455 0.455 0.090
Zn 0.545 0.545 0.910
Zn 0.686 0.186 0.627
Ag 0.264 0.264 0.472
Ag 0.407 0.908 0.185
Ag 0.593 0.092 0.815
Ag 0.736 0.736 0.528



5.
The following is a calculated PXRD pattern of Tm3Zn2Ag. It was derived from a DFT-relaxed cell (PBE, Alexandria), using copper Kα.
Peak positions follow from Bragg's law for the DFT cell and can differ from measured ones.

The 10 most intense peaks (2θ from 15° to 90°), in order of rising 2θ:
d/Å, I/Imax
3.539, 13
2.502, 100
2.043, 4
1.771, 12
1.766, 6
1.445, 24
1.443, 11
1.251, 7
1.120, 11
1.117, 5

Atomic structure:
a = 3.542 Å, b = 3.542 Å, c = 10.596 Å
α = 90.00°, β = 90.00°, γ = 90.00°
Element x y z (fractional)
Tm 0.000 0.000 0.000
Tm 0.000 0.000 0.327
Tm 0.000 0.000 0.673
Zn 0.500 0.500 0.161
Zn 0.500 0.500 0.839
Ag 0.500 0.500 0.500



6.
The following is a calculated PXRD pattern of Tm11Zn9Ag4. It was derived from a DFT-relaxed cell (PBE, Alexandria), using copper Kα.
Peak positions follow from Bragg's law for the DFT cell and can differ from measured ones.

The 10 most intense peaks (2θ from 15° to 90°), in order of rising 2θ:
d/Å, I/Imax
3.544, 13
2.514, 98
2.492, 95
2.484, 100
1.784, 20
1.772, 17
1.741, 15
1.449, 37
1.444, 33
1.431, 30

Atomic structure:
a = 12.622 Å, b = 12.622 Å, c = 3.568 Å
α = 90.00°, β = 90.00°, γ = 111.68°
Element x y z (fractional)
Tm 0.000 0.000 0.000
Tm 0.071 0.412 0.000
Tm 0.172 0.828 0.000
Tm 0.246 0.246 0.000
Tm 0.345 0.655 0.000
Tm 0.412 0.071 0.000
Tm 0.588 0.929 0.000
Tm 0.655 0.345 0.000
Tm 0.754 0.754 0.000
Tm 0.828 0.172 0.000
Tm 0.929 0.588 0.000
Zn 0.037 0.205 0.500
Zn 0.140 0.625 0.500
Zn 0.205 0.037 0.500
Zn 0.375 0.860 0.500
Zn 0.500 0.500 0.500
Zn 0.625 0.140 0.500
Zn 0.795 0.963 0.500
Zn 0.860 0.375 0.500
Zn 0.963 0.795 0.500
Ag 0.271 0.447 0.500
Ag 0.447 0.271 0.500
Ag 0.553 0.729 0.500
Ag 0.729 0.553 0.500



7.
The following is a calculated PXRD pattern of Tm3Zn8Ag3. It was derived from a DFT-relaxed cell (PBE, Alexandria), using copper Kα.
Peak positions follow from Bragg's law for the DFT cell and can differ from measured ones.

The 10 most intense peaks (2θ from 15° to 90°), in order of rising 2θ:
d/Å, I/Imax
3.088, 13
2.654, 13
2.544, 100
2.473, 20
2.465, 20
2.308, 23
2.194, 20
2.173, 36
1.544, 14
1.315, 13

Atomic structure:
a = 8.259 Å, b = 8.259 Å, c = 8.259 Å
α = 149.49°, β = 114.15°, γ = 74.30°
Element x y z (fractional)
Tm 0.000 0.000 0.000
Tm 0.302 0.302 0.000
Tm 0.698 0.698 0.000
Zn 0.034 0.671 0.363
Zn 0.139 0.863 0.276
Zn 0.308 0.671 0.637
Zn 0.413 0.137 0.276
Zn 0.587 0.863 0.724
Zn 0.692 0.329 0.363
Zn 0.861 0.137 0.724
Zn 0.966 0.329 0.637
Ag 0.290 0.500 0.790
Ag 0.500 0.000 0.500
Ag 0.710 0.500 0.210



8.
The following is a calculated PXRD pattern of V5Ag. It was derived from a DFT-relaxed cell (PBE, Alexandria), using copper Kα.
Peak positions follow from Bragg's law for the DFT cell and can differ from measured ones.

The 10 most intense peaks (2θ from 15° to 90°), in order of rising 2θ:
d/Å, I/Imax
4.222, 6
3.045, 7
2.244, 29
2.154, 100
2.071, 20
1.523, 22
1.278, 16
1.261, 8
1.227, 6
1.211, 11

Atomic structure:
a = 4.489 Å, b = 12.424 Å, c = 3.048 Å
α = 90.00°, β = 90.00°, γ = 90.00°
Element x y z (fractional)
V 0.000 0.000 0.000
V 0.000 0.165 0.500
V 0.000 0.317 0.000
V 0.000 0.683 0.000
V 0.000 0.835 0.500
V 0.500 0.183 0.000
V 0.500 0.335 0.500
V 0.500 0.500 0.000
V 0.500 0.665 0.500
V 0.500 0.817 0.000
Ag 0.000 0.500 0.500
Ag 0.500 0.000 0.500